[1]
Starting from a crystal structure in Alexandria, relaxed with PBE, the powder X-ray diffraction pattern of La4ThIn was computed for copper Kα.
Intensities are scaled so that the largest is 100.

Structure:
abc: 9.1334 3.7380 11.8804
angles: 90.00 90.06 90.00
Space group P2/m (No. 10)
Asymmetric unit:
La  0.0000  0.0000  0.0000 [1 per cell]
La  0.0464  0.0000  0.3292 [2 per cell]
La  0.2502  0.5000  0.8183 [2 per cell]
La  0.4537  0.0000  0.3300 [2 per cell]
La  0.5000  0.0000  0.0000 [1 per cell]
Th  0.2494  0.5000  0.5372 [2 per cell]
In  0.2503  0.5000  0.1391 [2 per cell]

Top 8 peaks for 5 to 70 degrees two-theta, most intense first:
d = 2.992 Å, intensity 100, hkl 2 0 3
d = 2.893 Å, intensity 99, hkl 2 1 0
d = 2.718 Å, intensity 83, hkl 0 1 3
d = 1.748 Å, intensity 28, hkl 4 1 3
d = 1.585 Å, intensity 27, hkl 2 2 3
d = 2.283 Å, intensity 19, hkl 4 0 0
d = 1.634 Å, intensity 17, hkl 2 1 6
d = 2.825 Å, intensity 16, hkl 1 0 -4

---

[2]
Starting from a crystal structure in Alexandria, relaxed with PBE, the powder X-ray diffraction pattern of RbTbVBr6 was computed for copper Kα.
Intensities are scaled so that the largest is 100.

Structure:
abc: 7.0610 7.0610 15.7195
angles: 90.00 90.00 120.00
Space group P-31c (No. 163)
Asymmetric unit:
Rb  0.0000  0.0000  0.0000 [2 per cell]
Tb  0.3333  0.6667  0.2500 [2 per cell]
V  0.3333  0.6667  0.7500 [2 per cell]
Br  0.0180  0.3754  0.6499 [12 per cell]

Top 8 peaks for 5 to 70 degrees two-theta, most intense first:
d = 2.626 Å, intensity 100, hkl 1 1 4
d = 3.221 Å, intensity 87, hkl 1 1 2
d = 4.826 Å, intensity 68, hkl 1 0 2
d = 7.860 Å, intensity 59, hkl 0 0 2
d = 2.038 Å, intensity 39, hkl 3 0 0
d = 2.104 Å, intensity 28, hkl 2 -1 6
d = 1.610 Å, intensity 23, hkl 4 -2 4
d = 2.217 Å, intensity 21, hkl 2 1 2

---

[3]
Starting from a crystal structure in Alexandria, relaxed with PBE, the powder X-ray diffraction pattern of ScNbMo14 was computed for copper Kα.
Intensities are scaled so that the largest is 100.

Structure:
abc: 6.3515 9.0201 9.0114
angles: 90.00 90.00 90.00
Space group Cmmm (No. 65)
Asymmetric unit:
Sc  0.0000  0.0000  0.0000 [2 per cell]
Nb  0.0000  0.5000  0.0000 [2 per cell]
Mo  0.0000  0.0000  0.5000 [2 per cell]
Mo  0.0000  0.2492  0.2512 [8 per cell]
Mo  0.0000  0.5000  0.5000 [2 per cell]
Mo  0.2486  0.5000  0.2575 [8 per cell]
Mo  0.2500  0.2500  0.0000 [4 per cell]
Mo  0.2500  0.2500  0.5000 [4 per cell]

Top 5 peaks for 5 to 70 degrees two-theta, most intense first:
d = 2.251 Å, intensity 100, hkl 0 4 0
d = 1.594 Å, intensity 11, hkl 0 4 4
d = 1.588 Å, intensity 5, hkl 4 0 0
d = 9.011 Å, intensity 1, hkl 0 0 1
d = 4.503 Å, intensity 1, hkl 0 2 0

---

[4]
Starting from a crystal structure in Alexandria, relaxed with PBE, the powder X-ray diffraction pattern of Dy4ErNi4 was computed for copper Kα.
Intensities are scaled so that the largest is 100.

Structure:
abc: 8.4745 8.4745 5.6194
angles: 90.00 90.00 90.00
Space group P4_2/n (No. 86, origin choice 2)
Asymmetric unit:
Dy  0.0633  0.6656  0.1488 [8 per cell]
Er  0.2500  0.2500  0.2500 [2 per cell]
Ni  0.0227  0.6185  0.6341 [8 per cell]

Top 8 peaks for 5 to 70 degrees two-theta, most intense first:
d = 2.680 Å, intensity 100, hkl 1 3 0
d = 3.142 Å, intensity 78, hkl 2 1 1
d = 2.667 Å, intensity 47, hkl 1 0 2
d = 1.895 Å, intensity 32, hkl 4 2 0
d = 1.803 Å, intensity 26, hkl 2 3 2
d = 2.257 Å, intensity 25, hkl 1 2 2
d = 1.623 Å, intensity 24, hkl 5 0 1
d = 1.659 Å, intensity 17, hkl 1 4 2

---

[5]
Starting from a crystal structure in Alexandria, relaxed with PBE, the powder X-ray diffraction pattern of Ti2BeS4 was computed for copper Kα.
Intensities are scaled so that the largest is 100.

Structure:
abc: 9.7864 9.7864 9.7864
angles: 90.00 90.00 90.00
Space group Fd-3m (No. 227, origin choice 2)
Asymmetric unit:
Ti  0.0000  0.0000  0.0000 [16 per cell]
Be  0.1250  0.1250  0.6250 [8 per cell]
S  0.0013  0.0013  0.7487 [32 per cell]

Top 8 peaks for 5 to 70 degrees two-theta, most intense first:
d = 2.447 Å, intensity 100, hkl 4 0 0
d = 1.730 Å, intensity 69, hkl 4 4 0
d = 5.650 Å, intensity 42, hkl 1 1 1
d = 2.951 Å, intensity 40, hkl 3 1 1
d = 1.413 Å, intensity 20, hkl 4 4 4
d = 2.245 Å, intensity 13, hkl 3 3 1
d = 1.883 Å, intensity 12, hkl 3 3 3
d = 1.654 Å, intensity 8, hkl 5 3 1

---

[6]
Starting from a crystal structure in Alexandria, relaxed with PBE, the powder X-ray diffraction pattern of K3Zr6BeCl15 was computed for copper Kα.
Intensities are scaled so that the largest is 100.

Structure:
abc: 16.8598 11.5328 14.4104
angles: 90.00 93.12 90.00
Space group C2/c (No. 15)
Asymmetric unit:
K  0.0000  0.0741  0.2500 [4 per cell]
K  0.1093  0.2457  0.5727 [8 per cell]
Zr  0.1345  0.1378  0.9983 [8 per cell]
Zr  0.1919  0.3875  0.0971 [8 per cell]
Zr  0.1989  0.3512  0.8673 [8 per cell]
Be  0.2500  0.2500  0.0000 [4 per cell]
Cl  0.0000  0.0000  0.0000 [4 per cell]
Cl  0.0555  0.2765  0.1020 [8 per cell]
Cl  0.0670  0.2303  0.8509 [8 per cell]
Cl  0.1297  0.4542  0.7114 [8 per cell]
Cl  0.1307  0.4877  0.4608 [8 per cell]
Cl  0.1748  0.0178  0.1442 [8 per cell]
Cl  0.1859  0.0282  0.3973 [8 per cell]
Cl  0.2377  0.2837  0.2498 [8 per cell]

Top 8 peaks for 5 to 70 degrees two-theta, most intense first:
d = 8.051 Å, intensity 100, hkl 1 1 -1
d = 7.827 Å, intensity 56, hkl 1 1 1
d = 8.417 Å, intensity 48, hkl 2 0 0
d = 2.829 Å, intensity 32, hkl 2 2 4
d = 2.430 Å, intensity 22, hkl 2 2 5
d = 2.533 Å, intensity 21, hkl 5 3 0
d = 2.507 Å, intensity 20, hkl 6 2 -1
d = 2.684 Å, intensity 19, hkl 3 3 -3

---

[7]
Starting from a crystal structure in Alexandria, relaxed with PBE, the powder X-ray diffraction pattern of HfZrP was computed for copper Kα.
Intensities are scaled so that the largest is 100.

Structure:
abc: 5.6589 3.5365 6.1431
angles: 90.00 90.13 90.00
Space group P2_1/m (No. 11)
Asymmetric unit:
Hf  0.2208  0.2500  0.4188 [2 per cell]
Zr  0.2233  0.7500  0.9146 [2 per cell]
P  0.4970  0.7500  0.2526 [2 per cell]

Top 8 peaks for 5 to 70 degrees two-theta, most intense first:
d = 2.697 Å, intensity 100, hkl 1 1 -1
d = 2.694 Å, intensity 23, hkl 1 1 1
d = 2.829 Å, intensity 20, hkl 2 0 0
d = 2.078 Å, intensity 19, hkl 2 1 1
d = 1.772 Å, intensity 19, hkl 0 1 3
d = 3.067 Å, intensity 17, hkl 0 0 2
d = 6.143 Å, intensity 14, hkl 0 0 1
d = 2.082 Å, intensity 13, hkl 2 0 -2

---

[8]
Starting from a crystal structure in Alexandria, relaxed with PBE, the powder X-ray diffraction pattern of Sb3Au2Xe2F19 was computed for copper Kα.
Intensities are scaled so that the largest is 100.

Structure:
abc: 7.0300 8.7676 9.5370
angles: 99.22 102.92 112.85
Space group P-1 (No. 2)
Asymmetric unit:
Sb  0.0000  0.0000  0.0000 [1 per cell]
Sb  0.4657  0.2526  0.6294 [2 per cell]
Au  0.0100  0.7084  0.6482 [2 per cell]
Xe  0.2509  0.6353  0.8633 [2 per cell]
F  0.0000  0.5000  0.5000 [1 per cell]
F  0.0022  0.9341  0.7915 [2 per cell]
F  0.1203  0.2371  0.0051 [2 per cell]
F  0.1774  0.2563  0.5488 [2 per cell]
F  0.2600  0.7441  0.2869 [2 per cell]
F  0.2839  0.0156  0.0702 [2 per cell]
F  0.3052  0.0113  0.6009 [2 per cell]
F  0.3981  0.5027  0.3429 [2 per cell]
F  0.4263  0.2981  0.8214 [2 per cell]
F  0.4778  0.2152  0.4304 [2 per cell]

Top 8 peaks for 5 to 70 degrees two-theta, most intense first:
d = 4.278 Å, intensity 100, hkl 1 1 -1
d = 3.846 Å, intensity 77, hkl -1 1 2
d = 6.873 Å, intensity 35, hkl 0 1 -1
d = 4.964 Å, intensity 32, hkl 1 -1 1
d = 2.586 Å, intensity 31, hkl 2 0 -3
d = 3.250 Å, intensity 30, hkl 0 2 1
d = 3.707 Å, intensity 29, hkl -1 2 1
d = 3.500 Å, intensity 23, hkl 1 -1 2

---

[9]
Starting from a crystal structure in Alexandria, relaxed with PBE, the powder X-ray diffraction pattern of TbB2C was computed for copper Kα.
Intensities are scaled so that the largest is 100.

Structure:
abc: 6.8076 6.8076 7.5440
angles: 90.00 90.00 90.00
Space group P4_2/mbc (No. 135)
Asymmetric unit:
Tb  0.1908  0.3092  0.2500 [8 per cell]
B  0.0346  0.8485  0.0000 [8 per cell]
B  0.0950  0.5969  0.0000 [8 per cell]
C  0.0407  0.8225  0.5000 [8 per cell]

Top 8 peaks for 5 to 70 degrees two-theta, most intense first:
d = 2.369 Å, intensity 100, hkl 2 1 2
d = 2.527 Å, intensity 81, hkl 2 0 2
d = 3.044 Å, intensity 77, hkl 2 1 0
d = 3.404 Å, intensity 70, hkl 2 0 0
d = 3.772 Å, intensity 61, hkl 0 0 2
d = 1.651 Å, intensity 54, hkl 4 1 0
d = 1.513 Å, intensity 42, hkl 4 1 2
d = 1.604 Å, intensity 37, hkl 3 3 0